No. 1
For PdRh2S4, the GGA-PBE geometry in Alexandria gives the calculated powder X-ray diffraction pattern in this record (copper Kα).
Neutral-atom scattering factors, no anomalous dispersion.

Top 10 peaks for 10 to 90 degrees two-theta, by angle:
d = 5.757 Å, I 11.8, hkl 1 1 0
d = 3.525 Å, I 32.7, hkl 0 2 0
d = 3.007 Å, I 100.0, hkl 3 1 0
d = 2.496 Å, I 18.0, hkl 2 2 -2
d = 2.036 Å, I 9.5, hkl 1 3 1
d = 1.921 Å, I 34.9, hkl 2 2 -3
d = 1.915 Å, I 14.0, hkl 4 0 1
d = 1.764 Å, I 44.7, hkl 2 2 2
d = 1.761 Å, I 22.3, hkl 6 2 -2
d = 1.521 Å, I 10.6, hkl 1 1 -4

Atomic structure:
Cell lengths 12.1939, 7.0549, 7.0623 Å; angles 90.00, 125.31, 90.00 degrees
Space group C2/m (No. 12)
Symmetry-distinct sites (fractional):
Pd 0.1254 0.0000 0.3759
Rh 0.0000 0.5000 0.0000
Rh 0.0000 0.5000 0.5000
Rh 0.2500 0.2500 0.0000
S 0.0111 0.2739 0.7612
S 0.2389 0.5000 0.2152
S 0.2387 0.5000 0.7626

=====

No. 2
For SrPd2Rh3S8, the GGA-PBE geometry in Alexandria gives the calculated powder X-ray diffraction pattern in this record (copper Kα).
Neutral-atom scattering factors, no anomalous dispersion.

Top 10 peaks for 10 to 90 degrees two-theta, by angle:
d = 5.970 Å, I 33.6, hkl 1 0 1
d = 3.707 Å, I 30.5, hkl 1 0 4
d = 3.169 Å, I 49.8, hkl 0 1 5
d = 3.130 Å, I 100.0, hkl 1 1 3
d = 3.111 Å, I 46.1, hkl 0 2 1
d = 2.599 Å, I 55.8, hkl 0 2 4
d = 2.000 Å, I 46.4, hkl 1 2 5
d = 1.990 Å, I 30.7, hkl 0 3 3
d = 1.853 Å, I 62.0, hkl 2 0 8
d = 1.823 Å, I 60.4, hkl 2 2 0

Atomic structure:
Cell lengths 7.2916, 7.2916, 18.3159 Å; angles 90.00, 90.00, 120.00 degrees
Space group R3m (No. 160, hexagonal axes)
Symmetry-distinct sites (fractional):
Sr 0.0000 0.0000 0.0000
Pd 0.0000 0.0000 0.2516
Pd 0.0000 0.0000 0.6266
Rh 0.0008 0.5004 0.1283
S 0.0000 0.0000 0.3935
S 0.0000 0.0000 0.8539
S 0.0621 0.5310 0.3887
S 0.1845 0.3690 0.2052

=====

No. 3
For Sc6Pd3Rh, the GGA-PBE geometry in Alexandria gives the calculated powder X-ray diffraction pattern in this record (copper Kα).
Neutral-atom scattering factors, no anomalous dispersion.

Top 10 peaks for 10 to 90 degrees two-theta, by angle:
d = 3.330 Å, I 100.0, hkl 1 1 1
d = 3.276 Å, I 86.3, hkl 1 1 -3
d = 3.235 Å, I 33.5, hkl 2 0 -2
d = 2.584 Å, I 32.7, hkl 1 1 2
d = 2.313 Å, I 53.8, hkl 0 2 3
d = 2.276 Å, I 51.4, hkl 0 0 4
d = 2.238 Å, I 86.8, hkl 1 3 -1
d = 2.108 Å, I 32.7, hkl 2 2 -4
d = 1.896 Å, I 43.0, hkl 3 1 -1
d = 1.866 Å, I 38.4, hkl 3 1 -5

Atomic structure:
Cell lengths 6.4711, 7.1541, 11.0549 Å; angles 90.00, 124.55, 90.00 degrees
Space group P2_1/c (No. 14)
Symmetry-distinct sites (fractional):
Sc 0.0639 0.0538 0.2480
Sc 0.2080 0.6748 0.0638
Sc 0.4090 0.1645 0.0629
Pd 0.3098 0.1277 0.7487
Pd 0.5000 0.0000 0.5000
Rh 0.0000 0.0000 0.0000

=====

No. 4
For Sc8Pd2Rh, the GGA-PBE geometry in Alexandria gives the calculated powder X-ray diffraction pattern in this record (copper Kα).
Neutral-atom scattering factors, no anomalous dispersion.

Top 10 peaks for 10 to 90 degrees two-theta, by angle:
d = 4.102 Å, I 45.0, hkl 2 0 1
d = 3.818 Å, I 62.5, hkl 1 1 -1
d = 3.798 Å, I 37.9, hkl 4 0 -1
d = 3.456 Å, I 41.5, hkl 3 1 0
d = 2.639 Å, I 30.9, hkl 1 1 -2
d = 2.618 Å, I 43.0, hkl 5 1 -1
d = 2.545 Å, I 33.1, hkl 5 1 0
d = 2.409 Å, I 100.0, hkl 1 1 2
d = 2.385 Å, I 86.0, hkl 0 2 0
d = 2.281 Å, I 71.2, hkl 5 1 -2

Atomic structure:
Cell lengths 15.9173, 4.7693, 6.3924 Å; angles 90.00, 109.06, 90.00 degrees
Space group C2/m (No. 12)
Symmetry-distinct sites (fractional):
Sc 0.0286 0.0000 0.2887
Sc 0.0957 0.5000 0.9442
Sc 0.1653 0.5000 0.4639
Sc 0.1958 0.0000 0.7961
Pd 0.1825 0.0000 0.1971
Rh 0.0000 0.5000 0.5000

=====

Repeat the fourth record exactly.
For Sc8Pd2Rh, the GGA-PBE geometry in Alexandria gives the calculated powder X-ray diffraction pattern in this record (copper Kα).
Neutral-atom scattering factors, no anomalous dispersion.

Top 10 peaks for 10 to 90 degrees two-theta, by angle:
d = 4.102 Å, I 45.0, hkl 2 0 1
d = 3.818 Å, I 62.5, hkl 1 1 -1
d = 3.798 Å, I 37.9, hkl 4 0 -1
d = 3.456 Å, I 41.5, hkl 3 1 0
d = 2.639 Å, I 30.9, hkl 1 1 -2
d = 2.618 Å, I 43.0, hkl 5 1 -1
d = 2.545 Å, I 33.1, hkl 5 1 0
d = 2.409 Å, I 100.0, hkl 1 1 2
d = 2.385 Å, I 86.0, hkl 0 2 0
d = 2.281 Å, I 71.2, hkl 5 1 -2

Atomic structure:
Cell lengths 15.9173, 4.7693, 6.3924 Å; angles 90.00, 109.06, 90.00 degrees
Space group C2/m (No. 12)
Symmetry-distinct sites (fractional):
Sc 0.0286 0.0000 0.2887
Sc 0.0957 0.5000 0.9442
Sc 0.1653 0.5000 0.4639
Sc 0.1958 0.0000 0.7961
Pd 0.1825 0.0000 0.1971
Rh 0.0000 0.5000 0.5000

=====

Number 4 is which compound?
Sc8Pd2Rh